[1]
# Li9Mn2Co5O16
Computed PXRD pattern, Cu Kα, 1.54184 Å. Input: a crystal structure in the Materials Project, relaxed with PBE+U.
No peak broadening, texture or thermal motion is included.

Crystal structure
Unit cell a=3.0192 b=9.7945 c=9.9785 alpha=87.10 beta=87.81 gamma=82.97
Fractional coordinates of all 32 atoms:
Li  0.0000  0.0000  0.0000
Li  0.9997  0.0051  0.4972
Li  0.2561  0.4946  0.8743
Li  0.2648  0.4953  0.3722
Li  0.3807  0.2482  0.5617
Li  0.4952  0.0049  0.7531
Li  0.5109  0.0014  0.2486
Li  0.7589  0.4896  0.6246
Li  0.7602  0.4970  0.1262
Mn  0.1299  0.7494  0.6835
Mn  0.6380  0.7486  0.9388
Co  0.1304  0.7486  0.1910
Co  0.3806  0.2488  0.0619
Co  0.6240  0.7481  0.4349
Co  0.8776  0.2499  0.8028
Co  0.8841  0.2476  0.3209
O  0.0369  0.8623  0.3434
O  0.0418  0.8650  0.8406
O  0.2211  0.6334  0.5285
O  0.2277  0.6309  0.0364
O  0.2908  0.3626  0.2134
O  0.3024  0.3633  0.7251
O  0.4619  0.1339  0.3978
O  0.4657  0.1355  0.9107
O  0.5447  0.8646  0.5873
O  0.5842  0.8644  0.0936
O  0.6714  0.6359  0.2830
O  0.7205  0.6331  0.7817
O  0.8234  0.3636  0.4496
O  0.8338  0.3587  0.9612
O  0.9279  0.1389  0.1626
O  0.9396  0.1333  0.6746

Peak list (12 most intense, 2θ = 15–90°, low angle first)
two_theta, d_spacing, I (rel.)
18.3, 4.855, 100
34.4, 2.604, 19
36.0, 2.497, 13
36.8, 2.439, 11
37.0, 2.428, 8
41.4, 2.181, 33
43.6, 2.074, 28
44.9, 2.019, 25
61.5, 1.508, 9
61.9, 1.498, 8
62.5, 1.485, 8
62.9, 1.478, 8

=====

[2]
# Ca2Co9O13
Computed PXRD pattern, Cu Kα, 1.54184 Å. Input: a crystal structure in the Materials Project, relaxed with PBE+U.
No peak broadening, texture or thermal motion is included.

Crystal structure
Unit cell a=5.2353 b=5.2353 c=16.6130 alpha=98.68 beta=98.68 gamma=33.88
Fractional coordinates of all 24 atoms:
Ca  0.2171  0.2171  0.2278
Ca  0.7829  0.7829  0.7722
Co  0.0010  0.0010  0.3390
Co  0.0623  0.0623  0.8757
Co  0.2456  0.2456  0.5790
Co  0.3549  0.3549  0.9621
Co  0.5000  0.5000  0.5000
Co  0.6451  0.6451  0.0379
Co  0.7544  0.7544  0.4210
Co  0.9377  0.9377  0.1243
Co  0.9990  0.9990  0.6610
O  0.0000  0.0000  0.0000
O  0.1082  0.1082  0.7750
O  0.1307  0.1307  0.4658
O  0.2980  0.2980  0.0753
O  0.3664  0.3664  0.6810
O  0.3837  0.3837  0.3870
O  0.4250  0.4250  0.8579
O  0.5750  0.5750  0.1421
O  0.6163  0.6163  0.6130
O  0.6336  0.6336  0.3190
O  0.7020  0.7020  0.9247
O  0.8693  0.8693  0.5342
O  0.8918  0.8918  0.2250

Peak list (12 most intense, 2θ = 15–90°, low angle first)
two_theta, d_spacing, I (rel.)
33.1, 2.708, 37
34.9, 2.571, 100
35.1, 2.555, 76
35.6, 2.524, 41
35.9, 2.504, 56
40.6, 2.222, 48
41.3, 2.188, 55
41.9, 2.155, 94
43.0, 2.104, 60
43.9, 2.061, 48
45.4, 1.999, 46
60.7, 1.526, 49

=====

[3]
# Li3Fe3O4F4
Computed PXRD pattern, Cu Kα, 1.54184 Å. Input: a crystal structure in the Materials Project, relaxed with PBE+U.
No peak broadening, texture or thermal motion is included.

Crystal structure
Unit cell a=5.0732 b=3.0366 c=9.8360 alpha=90.00 beta=90.53 gamma=90.00
Fractional coordinates of all 14 atoms:
Li  0.0000  0.0000  0.0000
Li  0.0642  0.5000  0.3809
Li  0.5839  0.0000  0.8040
Fe  0.0223  0.5000  0.6860
Fe  0.4662  0.5000  0.2104
Fe  0.5261  0.0000  0.4772
O  0.2803  0.0000  0.3045
O  0.3004  0.5000  0.5565
O  0.6986  0.5000  0.3739
O  0.8034  0.0000  0.6286
F  0.1965  0.5000  0.0640
F  0.2132  0.0000  0.8022
F  0.6640  0.0000  0.1121
F  0.7849  0.5000  0.8622

Peak list (12 most intense, 2θ = 15–90°, low angle first)
two_theta, d_spacing, I (rel.)
17.5, 5.073, 20
18.0, 4.918, 22
19.6, 4.526, 100
19.8, 4.492, 76
32.4, 2.765, 31
32.7, 2.742, 40
34.7, 2.584, 30
35.7, 2.518, 55
39.0, 2.307, 52
50.3, 1.814, 30
50.5, 1.806, 29
64.6, 1.442, 21

=====

[4]
# Li9Mn2Co5O16
Computed PXRD pattern, Cu Kα, 1.54184 Å. Input: a crystal structure in the Materials Project, relaxed with PBE+U.
No peak broadening, texture or thermal motion is included.

Crystal structure
Unit cell a=6.4819 b=6.4859 c=7.8291 alpha=65.74 beta=77.65 gamma=71.97
Fractional coordinates of all 32 atoms:
Li  0.0000  0.0000  0.0000
Li  0.0538  0.4227  0.7041
Li  0.1219  0.8594  0.3904
Li  0.2345  0.7399  0.7632
Li  0.3545  0.6158  0.1467
Li  0.4767  0.4839  0.5293
Li  0.6198  0.3601  0.8858
Li  0.7367  0.2439  0.2656
Li  0.8689  0.1276  0.6408
Mn  0.6752  0.8002  0.5785
Mn  0.8073  0.6812  0.9482
Co  0.1811  0.3030  0.0697
Co  0.2978  0.1793  0.4589
Co  0.4239  0.0577  0.8243
Co  0.5485  0.9302  0.2007
Co  0.9277  0.5494  0.3385
O  0.0312  0.2300  0.3604
O  0.0674  0.6485  0.0408
O  0.1673  0.0834  0.7359
O  0.2027  0.5097  0.4131
O  0.2815  0.9585  0.1161
O  0.3331  0.3711  0.8118
O  0.4037  0.8461  0.4866
O  0.4518  0.2511  0.1739
O  0.5409  0.7264  0.8408
O  0.5756  0.1339  0.5389
O  0.6642  0.6119  0.2101
O  0.6986  0.0081  0.9201
O  0.7615  0.4828  0.6005
O  0.8143  0.8749  0.3192
O  0.8960  0.3517  0.9955
O  0.9306  0.7694  0.6866

Peak list (12 most intense, 2θ = 15–90°, low angle first)
two_theta, d_spacing, I (rel.)
18.4, 4.828, 100
35.2, 2.547, 15
36.5, 2.463, 13
36.8, 2.445, 12
37.7, 2.386, 7
42.3, 2.138, 30
44.3, 2.043, 26
44.6, 2.031, 26
62.7, 1.481, 15
63.1, 1.474, 8
63.6, 1.463, 7
65.2, 1.430, 7

=====

[5]
# CaLa2CoO6
Computed PXRD pattern, Cu Kα, 1.54184 Å. Input: a crystal structure in the Materials Project, relaxed with PBE+U.
No peak broadening, texture or thermal motion is included.

Crystal structure
Unit cell a=5.8142 b=5.8262 c=9.5694 alpha=89.95 beta=72.39 gamma=60.11
Fractional coordinates of all 20 atoms:
Ca  0.0003  0.2493  0.2499
Ca  0.9997  0.7507  0.7501
La  0.2599  0.1194  0.8592
La  0.2604  0.6200  0.3588
La  0.7396  0.3800  0.6412
La  0.7401  0.8806  0.1408
Co  0.5000  0.0000  0.5000
Co  0.5000  0.5000  0.0000
O  0.1817  0.8341  0.1230
O  0.1836  0.3324  0.6224
O  0.2901  0.0159  0.3774
O  0.2906  0.5159  0.8778
O  0.3622  0.3061  0.1221
O  0.3616  0.8056  0.6227
O  0.6384  0.1944  0.3773
O  0.6378  0.6939  0.8779
O  0.7094  0.4841  0.1222
O  0.7099  0.9841  0.6226
O  0.8164  0.6676  0.3776
O  0.8183  0.1659  0.8770

Peak list (12 most intense, 2θ = 15–90°, low angle first)
two_theta, d_spacing, I (rel.)
22.0, 4.035, 38
30.7, 2.912, 100
32.0, 2.798, 93
38.1, 2.361, 24
44.8, 2.023, 18
45.0, 2.015, 35
54.6, 1.680, 18
55.3, 1.660, 14
55.4, 1.657, 28
57.8, 1.596, 9
63.9, 1.457, 10
73.4, 1.290, 10

=====

[6]
# VS2O8
Computed PXRD pattern, Cu Kα, 1.54184 Å. Input: a crystal structure in the Materials Project, relaxed with PBE+U.
No peak broadening, texture or thermal motion is included.

Crystal structure
Unit cell a=8.8720 b=8.8720 c=8.8720 alpha=56.03 beta=56.03 gamma=56.03
Fractional coordinates of all 33 atoms:
V  0.0000  0.0000  0.0000
V  0.2024  0.2024  0.2024
V  0.7015  0.7015  0.7015
S  0.0980  0.3922  0.8075
S  0.3121  0.8902  0.5934
S  0.3922  0.8075  0.0980
S  0.5934  0.3121  0.8902
S  0.8075  0.0980  0.3922
S  0.8902  0.5934  0.3121
O  0.0881  0.4524  0.2383
O  0.1186  0.1924  0.8418
O  0.1463  0.3597  0.9661
O  0.1653  0.8992  0.7986
O  0.1924  0.8418  0.1186
O  0.2251  0.4650  0.6178
O  0.2383  0.0881  0.4524
O  0.3190  0.7352  0.5778
O  0.3597  0.9661  0.1463
O  0.4524  0.2383  0.0881
O  0.4650  0.6178  0.2251
O  0.4992  0.8749  0.5705
O  0.5167  0.8528  0.8869
O  0.5705  0.4992  0.8749
O  0.5778  0.3190  0.7352
O  0.6178  0.2251  0.4650
O  0.7352  0.5778  0.3190
O  0.7986  0.1653  0.8992
O  0.8418  0.1186  0.1924
O  0.8528  0.8869  0.5167
O  0.8749  0.5705  0.4992
O  0.8869  0.5167  0.8528
O  0.8992  0.7986  0.1653
O  0.9661  0.1463  0.3597

Peak list (12 most intense, 2θ = 15–90°, low angle first)
two_theta, d_spacing, I (rel.)
20.1, 4.420, 21
23.9, 3.727, 9
24.5, 3.637, 100
29.5, 3.032, 24
32.2, 2.778, 30
33.1, 2.708, 13
37.4, 2.406, 7
39.4, 2.290, 6
42.4, 2.134, 6
50.2, 1.819, 8
52.9, 1.729, 10
62.2, 1.491, 6